# Y6Te2P
Theoretical powder diffractogram, Cu Kα X-rays. Input: DFT lattice parameters and positions (PBE).

Main lines, by intensity (5 to 70 degrees two-theta):
- 2.858 Å, rel. 100, (5 1 1)
- 2.622 Å, rel. 57, (5 1 2)
- 3.000 Å, rel. 53, (3 1 2)
- 2.022 Å, rel. 52, (0 2 0)
- 2.758 Å, rel. 50, (2 0 4)
- 2.698 Å, rel. 47, (8 0 0)
- 2.771 Å, rel. 46, (0 1 3)
- 2.686 Å, rel. 46, (6 1 0)
- 2.586 Å, rel. 29, (3 1 3)
- 1.618 Å, rel. 27, (8 2 0)
- 2.432 Å, rel. 27, (6 1 2)
- 2.380 Å, rel. 23, (5 0 4)

Structure:
a b c (Å): 21.5832 4.0455 11.4115
angles (deg): 90.00 90.00 90.00
Space group Pnma (No. 62)
Unique sites:
Y (0.0067, 0.2500, 0.1154) x4
Y (0.0251, 0.7500, 0.3838) x4
Y (0.1094, 0.2500, 0.8206) x4
Y (0.1418, 0.7500, 0.0717) x4
Y (0.1498, 0.2500, 0.5413) x4
Y (0.2367, 0.7500, 0.7563) x4
Te (0.1221, 0.2500, 0.2800) x4
Te (0.2411, 0.2500, 0.9720) x4
P (0.0669, 0.7500, 0.6322) x4

***

# ZnTeP
Theoretical powder diffractogram, Cu Kα X-rays. Input: DFT lattice parameters and positions (PBE).

Main lines, by intensity (5 to 70 degrees two-theta):
- 2.751 Å, rel. 100, (3 1 0)
- 3.113 Å, rel. 82, (0 0 2)
- 3.370 Å, rel. 65, (1 1 -1)
- 3.220 Å, rel. 51, (1 1 1)
- 2.667 Å, rel. 44, (4 0 -1)
- 3.879 Å, rel. 41, (1 1 0)
- 1.958 Å, rel. 37, (3 1 2)
- 1.879 Å, rel. 30, (2 2 -1)
- 1.826 Å, rel. 25, (2 2 1)
- 2.181 Å, rel. 23, (3 1 -2)
- 1.870 Å, rel. 22, (1 1 -3)
- 1.787 Å, rel. 21, (4 0 -3)

Structure:
a b c (Å): 11.1426 4.1440 6.2926
angles (deg): 90.00 98.32 90.00
Space group C2 (No. 5)
Unique sites:
Zn (0.1210, 0.0000, 0.3097) x4
Te (0.1696, 0.1922, 0.7313) x4
P (0.0194, 0.4805, 0.1790) x4

***

# Zr6Te2P
Theoretical powder diffractogram, Cu Kα X-rays. Input: DFT lattice parameters and positions (PBE).

Main lines, by intensity (5 to 70 degrees two-theta):
- 2.687 Å, rel. 100, (1 1 1)
- 2.512 Å, rel. 46, (2 1 0)
- 2.491 Å, rel. 45, (2 0 1)
- 2.215 Å, rel. 39, (3 0 0)
- 2.089 Å, rel. 30, (2 1 1)
- 1.413 Å, rel. 19, (3 2 1)
- 1.434 Å, rel. 19, (3 0 2)
- 1.506 Å, rel. 18, (2 1 2)
- 1.353 Å, rel. 18, (4 1 1)
- 1.882 Å, rel. 18, (0 0 2)
- 3.763 Å, rel. 8, (0 0 1)
- 1.709 Å, rel. 7, (2 2 1)

Structure:
a b c (Å): 7.6739 7.6739 3.7632
angles (deg): 90.00 90.00 120.00
Space group P-62m (No. 189)
Unique sites:
Zr (0.0000, 0.2444, 0.0000) x3
Zr (0.0000, 0.6190, 0.5000) x3
Te (0.3333, 0.6667, 0.0000) x2
P (0.0000, 0.0000, 0.5000) x1